(1)
Calculated X-ray diffraction stick pattern
Compound: Ta2FeMo
Radiation: copper Kα
Structure: a crystal structure in the Materials Project, relaxed with PBE

Structure:
a b c (Å): 4.4575 4.4575 4.4575
angles (deg): 60.00 60.00 60.00
Fractional coordinates of all 4 atoms:
Ta1 0.2500 0.2500 0.2500
Ta2 0.7500 0.7500 0.7500
Fe1 0.0000 0.0000 0.0000
Mo1 0.5000 0.5000 0.5000

Most intense lines, 2θ from 5° to 70°, in order of rising 2θ:
24.46 deg, I 1; 28.31 deg, I 19; 40.47 deg, I 100; 47.86 deg, I 1; 50.13 deg, I 6; 58.57 deg, I 17; 66.31 deg, I 8


(2)
Calculated X-ray diffraction stick pattern
Compound: TbFe11Mo
Radiation: copper Kα
Structure: a crystal structure in the Materials Project, relaxed with PBE

Structure:
a b c (Å): 6.4646 6.4646 6.4646
angles (deg): 137.37 97.86 97.32
Fractional coordinates of all 13 atoms:
Tb1 0.0000 0.0000 0.0000
Fe1 0.0046 0.0053 0.4986
Fe2 0.0046 0.5060 0.9993
Fe3 0.2309 0.5082 0.7227
Fe4 0.2340 0.7340 0.5000
Fe5 0.3658 0.0073 0.3586
Fe6 0.5067 0.0053 0.0007
Fe7 0.5067 0.5060 0.5014
Fe8 0.6479 0.6479 0.0000
Fe9 0.6487 0.0073 0.6414
Fe10 0.7771 0.2771 0.5000
Fe11 0.7854 0.5082 0.2773
Mo1 0.3731 0.3731 0.0000

Most intense lines, 2θ from 5° to 70°, in order of rising 2θ:
30.20 deg, I 32; 33.19 deg, I 10; 36.92 deg, I 25; 37.07 deg, I 28; 38.30 deg, I 19; 42.33 deg, I 25; 42.57 deg, I 31; 42.85 deg, I 100; 44.02 deg, I 70; 49.18 deg, I 22


(3)
Calculated X-ray diffraction stick pattern
Compound: TbFe9Mo3
Radiation: copper Kα
Structure: a crystal structure in the Materials Project, relaxed with PBE

Structure:
a b c (Å): 6.5264 6.5264 6.5264
angles (deg): 136.97 98.30 97.16
Fractional coordinates of all 13 atoms:
Tb1 0.0000 0.0000 0.0000
Fe1 0.2102 0.4898 0.7204
Fe2 0.2117 0.7117 0.5000
Fe3 0.3511 0.3511 0.0000
Fe4 0.4907 0.4898 0.4986
Fe5 0.4907 0.9922 0.0009
Fe6 0.7694 0.4898 0.2796
Fe7 0.7740 0.2740 0.5000
Fe8 0.9912 0.4898 0.9991
Fe9 0.9912 0.9922 0.5014
Mo1 0.3449 0.9884 0.3565
Mo2 0.6319 0.9884 0.6435
Mo3 0.6331 0.6331 0.0000

Most intense lines, 2θ from 5° to 70°, in order of rising 2θ:
36.42 deg, I 56; 36.74 deg, I 54; 37.57 deg, I 35; 41.85 deg, I 40; 42.33 deg, I 100; 42.47 deg, I 85; 43.21 deg, I 57; 43.34 deg, I 46; 44.78 deg, I 19; 48.43 deg, I 35


Q: Number 1 is which compound?
A: Ta2FeMo